Starting from a cell relaxed with PBE+U, the powder diffractogram of FePH6NO5 was simulated for Cu Kα, 1.54184 Å.
Neutral-atom scattering factors, no anomalous dispersion.

Top 10 peaks for 2θ = 10–80°, by intensity:
31.3 deg, I 100.0, hkl 1 2 2; 31.3 deg, I 38.2, hkl 2 0 0; 20.9 deg, I 30.8, hkl 0 1 -2; 26.1 deg, I 27.1, hkl 1 1 2; 38.6 deg, I 26.1, hkl 1 3 2; 18.4 deg, I 22.1, hkl 1 1 0; 50.5 deg, I 15.5, hkl 0 5 0; 41.8 deg, I 14.8, hkl 2 2 2; 55.7 deg, I 14.7, hkl -3 2 2; 60.7 deg, I 14.5, hkl 2 -5 0

Structural model:
Unit cell a=5.722 b=9.017 c=9.645 alpha=90.02 beta=90.01 gamma=90.00
Space group P1 (No. 1)
Unique sites:
Fe1 0.000 0.000 0.000 x1
Fe2 0.001 0.002 0.499 x1
Fe3 0.500 0.959 0.249 x1
Fe4 0.501 0.953 0.750 x1
P1 0.000 0.782 0.784 x1
P2 0.500 0.176 0.035 x1
P3 0.503 0.173 0.534 x1
P4 0.998 0.784 0.285 x1
H1 0.000 0.521 0.651 x1
H2 0.000 0.524 0.972 x1
H3 0.000 0.526 0.471 x1
H4 0.001 0.521 0.152 x1
H5 0.137 0.166 0.783 x1
H6 0.137 0.171 0.281 x1
H7 0.150 0.391 0.059 x1
H8 0.150 0.392 0.557 x1
H9 0.351 0.565 0.308 x1
H10 0.351 0.566 0.808 x1
H11 0.363 0.790 0.032 x1
H12 0.364 0.786 0.532 x1
H13 0.500 0.431 0.722 x1
H14 0.500 0.436 0.400 x1
H15 0.500 0.437 0.902 x1
H16 0.501 0.433 0.220 x1
H17 0.636 0.790 0.032 x1
H18 0.637 0.787 0.529 x1
H19 0.649 0.566 0.308 x1
H20 0.649 0.566 0.808 x1
H21 0.851 0.390 0.059 x1
H22 0.852 0.392 0.557 x1
H23 0.863 0.166 0.783 x1
H24 0.865 0.171 0.279 x1
N1 0.000 0.456 0.060 x1
N2 0.000 0.457 0.559 x1
N3 0.500 0.501 0.310 x1
N4 0.500 0.501 0.810 x1
O1 0.000 0.177 0.844 x1
O2 0.000 0.185 0.342 x1
O3 0.000 0.817 0.129 x1
O4 0.002 0.611 0.809 x1
O5 0.002 0.813 0.628 x1
O6 0.004 0.613 0.308 x1
O7 0.213 0.859 0.360 x1
O8 0.216 0.855 0.859 x1
O9 0.282 0.105 0.109 x1
O10 0.291 0.096 0.610 x1
O11 0.497 0.344 0.559 x1
O12 0.499 0.143 0.378 x1
O13 0.500 0.142 0.879 x1
O14 0.500 0.347 0.058 x1
O15 0.500 0.778 0.094 x1
O16 0.503 0.773 0.592 x1
O17 0.719 0.106 0.109 x1
O18 0.726 0.104 0.605 x1
O19 0.777 0.852 0.357 x1
O20 0.779 0.852 0.856 x1